The following is a simulated X-ray powder pattern of AcSm2In6. It was derived from a cell relaxed with GGA-PBE, using Cu Kα, 1.54184 Å.
Intensities are scaled so that the largest is 100.

Largest 10 diffraction maxima, low angle first, 2θ from 5° to 70°:
Position (°2θ), I (rel.)
11.63, 2.0
20.21, 5.3
31.34, 100.0
35.38, 71.1
43.03, 1.7
47.97, 30.5
48.50, 9.7
61.00, 29.5
61.44, 28.1
63.51, 12.6

Structure:
```
data_AcSm2In6
_space_group_name_H-M_alt 'P 6/m m m'
_space_group_IT_number 191
_space_group_name_Hall '-P 6 2'
_cell_length_a 8.7895
_cell_length_b 8.7895
_cell_length_c 3.7543
_cell_angle_alpha 90.00
_cell_angle_beta 90.00
_cell_angle_gamma 120.00
loop_
_atom_site_label
_atom_site_fract_x
_atom_site_fract_y
_atom_site_fract_z
Ac1 0.0000 0.0000 0.0000
Sm1 0.3333 0.6667 0.0000
In1 0.0000 0.3378 0.5000
```